# La15Pm4Ho
Theoretical X-ray powder pattern, Cu Kα (weighted mean of Kα1 and Kα2). Input: the GGA-PBE geometry in Alexandria.
Lines closer than 0.1° are merged.

Cell and atoms:
Lattice parameters (Å, degrees): 5.232 5.232 26.238 90.00 90.00 90.00
Element x y z (fractional)
La 0.000 0.000 0.000
La 0.000 0.000 0.199
La 0.000 0.000 0.400
La 0.000 0.000 0.600
La 0.000 0.000 0.801
La 0.000 0.500 0.099
La 0.000 0.500 0.299
La 0.000 0.500 0.500
La 0.000 0.500 0.701
La 0.000 0.500 0.901
La 0.500 0.000 0.099
La 0.500 0.000 0.299
La 0.500 0.000 0.500
La 0.500 0.000 0.701
La 0.500 0.000 0.901
Pm 0.500 0.500 0.199
Pm 0.500 0.500 0.400
Pm 0.500 0.500 0.600
Pm 0.500 0.500 0.801
Ho 0.500 0.500 0.000

Peak list (8 most intense, 2θ = 10–90°, by intensity)
Position (°2θ)  I_rel  h k l
29.54  1000  1 1 5
49.21  364  2 2 0
34.28  337  2 0 0
58.50  289  3 1 5
34.17  170  0 0 10
58.35  145  1 1 15
61.32  125  2 2 10
79.79  117  3 1 15